Theoretical powder diffraction line list of CaHf8N8O4 for Cu Kα (weighted mean of Kα1 and Kα2), from a crystal structure in Alexandria, relaxed with PBE.

Unit cell a=5.6782 b=5.7849 c=11.1185 alpha=92.85 beta=102.25 gamma=117.57
Fractional positions:
Ca  0.0000  0.0000  0.0000
Hf  0.1539  0.9230  0.6062
Hf  0.2056  0.4547  0.3053
Hf  0.2688  0.6304  0.8703
Hf  0.4745  0.6177  0.5740
Hf  0.5266  0.1297  0.2873
Hf  0.6819  0.3492  0.0060
Hf  0.7834  0.2625  0.5693
Hf  0.8894  0.7849  0.3190
N  0.1299  0.0656  0.2223
N  0.1538  0.5852  0.6710
N  0.2633  0.7896  0.4447
N  0.3570  0.9909  0.9432
N  0.5915  0.4449  0.4284
N  0.6109  0.6154  0.9277
N  0.8004  0.4218  0.2042
N  0.8268  0.9542  0.6432
O  0.4910  0.7518  0.2387
O  0.4920  0.2796  0.6504
O  0.9215  0.1801  0.4159
O  0.9963  0.3655  0.9484

Most intense lines, 2θ from 10° to 80°, in order of rising 2θ:
24.95 deg, I = 100, hkl 0 0 3
30.09 deg, I = 26, hkl 1 1 -1
30.98 deg, I = 53, hkl 1 -2 0
31.37 deg, I = 68, hkl 1 1 -2
31.57 deg, I = 41, hkl -2 1 1
31.81 deg, I = 30, hkl 1 -2 1
33.10 deg, I = 43, hkl -2 1 2
33.48 deg, I = 28, hkl 0 0 4